Structure and calculated X-ray powder pattern of Y3Si2Rh2 (a GGA-PBE-relaxed structure; Cu Kα (λ = 1.5418 Å)).
Intensities are scaled so that the largest is 100.

Principal peaks in the range 2θ = 10–80°, in order of falling intensity:
| Position (°2θ) | intensity |
| --- | --- |
| 39.86 | 100 |
| 33.82 | 59 |
| 38.02 | 44 |
| 35.88 | 39 |
| 34.73 | 35 |
| 34.56 | 35 |
| 41.60 | 32 |
| 26.58 | 25 |
| 43.55 | 23 |
| 60.83 | 22 |
| 66.43 | 19 |
| 49.32 | 19 |

Structure:
abc: 5.6300 7.8248 13.0262
angles: 90.00 90.00 90.00
Space group Pbcm (No. 57)
Symmetry-distinct sites (fractional):
Y 0.1288 0.2485 0.2500 (multiplicity 4)
Y 0.3623 0.6067 0.1034 (multiplicity 8)
Si 0.1186 0.2500 0.0000 (multiplicity 4)
Si 0.3587 0.6056 0.7500 (multiplicity 4)
Rh 0.1363 0.5308 0.5909 (multiplicity 8)